Diffraction record for TiNb6Mo. The X-ray diffraction stick pattern is theoretical, not measured: it uses a cell relaxed with PBE and λ = 1.5418 Å (Cu Kα).
Lines closer than 0.1° are merged.

Structural model:
Cell lengths 6.602, 9.254, 4.647 Å; angles 90.00, 90.00, 90.00 degrees
Positions (direct):
1 Ti 0.000 0.000 0.000
2 Ti 0.500 0.500 0.000
3 Nb 0.000 0.242 0.500
4 Nb 0.000 0.758 0.500
5 Nb 0.237 0.500 0.500
6 Nb 0.250 0.250 0.000
7 Nb 0.250 0.750 0.000
8 Nb 0.263 0.000 0.500
9 Nb 0.500 0.258 0.500
10 Nb 0.500 0.742 0.500
11 Nb 0.737 0.000 0.500
12 Nb 0.750 0.250 0.000
13 Nb 0.750 0.750 0.000
14 Nb 0.763 0.500 0.500
15 Mo 0.000 0.500 0.000
16 Mo 0.500 0.000 0.000

Peak list (8 most intense, 2θ from 10° to 90°, in order of rising 2θ)
d 2.326, I = 100; d 2.313, I = 20; d 1.651, I = 7; d 1.639, I = 13; d 1.346, I = 7; d 1.343, I = 20; d 1.338, I = 13; d 1.163, I = 8

***

Diffraction record for Ti4Nb3Mo2. The X-ray diffraction stick pattern is theoretical, not measured: it uses a cell relaxed with PBE and λ = 1.5418 Å (Cu Kα).
Lines closer than 0.1° are merged.

Structural model:
Cell lengths 5.566, 7.281, 7.975 Å; angles 78.99, 89.90, 75.31 degrees
Positions (direct):
1 Ti 0.018 0.180 0.386
2 Ti 0.138 0.823 0.957
3 Ti 0.308 0.833 0.295
4 Ti 0.420 0.502 0.830
5 Ti 0.580 0.498 0.170
6 Ti 0.692 0.167 0.705
7 Ti 0.862 0.177 0.043
8 Ti 0.982 0.820 0.614
9 Nb 0.190 0.168 0.731
10 Nb 0.256 0.486 0.494
11 Nb 0.364 0.171 0.069
12 Nb 0.636 0.829 0.931
13 Nb 0.744 0.514 0.506
14 Nb 0.810 0.832 0.269
15 Mo 0.079 0.501 0.160
16 Mo 0.469 0.842 0.611
17 Mo 0.531 0.158 0.389
18 Mo 0.921 0.499 0.840

Peak list (8 most intense, 2θ from 10° to 90°, in order of rising 2θ)
d 2.310, I = 51; d 2.302, I = 54; d 2.294, I = 50; d 2.285, I = 100; d 2.277, I = 50; d 1.619, I = 32; d 1.329, I = 22; d 1.314, I = 23

***

Diffraction record for TiNb8Mo2. The X-ray diffraction stick pattern is theoretical, not measured: it uses a cell relaxed with PBE and λ = 1.5418 Å (Cu Kα).
Lines closer than 0.1° are merged.

Structural model:
Cell lengths 7.324, 7.324, 4.883 Å; angles 103.43, 103.43, 118.39 degrees
Positions (direct):
1 Ti 0.000 0.000 0.000
2 Nb 0.082 0.320 0.594
3 Nb 0.221 0.779 0.000
4 Nb 0.320 0.082 0.594
5 Nb 0.380 0.380 0.155
6 Nb 0.620 0.620 0.845
7 Nb 0.680 0.918 0.406
8 Nb 0.779 0.221 0.000
9 Nb 0.918 0.680 0.406
10 Mo 0.322 0.678 0.500
11 Mo 0.678 0.322 0.500

Peak list (8 most intense, 2θ from 10° to 90°, in order of rising 2θ)
d 2.952, I = 24; d 2.549, I = 100; d 2.475, I = 52; d 2.447, I = 83; d 2.373, I = 38; d 2.291, I = 36; d 2.226, I = 89; d 2.211, I = 26

***

Diffraction record for Ti4Nb3Mo4. The X-ray diffraction stick pattern is theoretical, not measured: it uses a cell relaxed with PBE and λ = 1.5418 Å (Cu Kα).
Lines closer than 0.1° are merged.

Structural model:
Cell lengths 2.854, 4.477, 14.586 Å; angles 98.81, 93.94, 90.02 degrees
Positions (direct):
1 Ti 0.185 0.091 0.183
2 Ti 0.277 0.728 0.455
3 Ti 0.723 0.272 0.545
4 Ti 0.815 0.909 0.817
5 Nb 0.386 0.363 0.725
6 Nb 0.500 0.000 0.000
7 Nb 0.614 0.637 0.275
8 Mo 0.066 0.818 0.635
9 Mo 0.144 0.454 0.909
10 Mo 0.856 0.546 0.091
11 Mo 0.934 0.182 0.365

Peak list (8 most intense, 2θ from 10° to 90°, in order of rising 2θ)
d 2.312, I = 51; d 2.299, I = 100; d 2.258, I = 97; d 2.238, I = 47; d 1.613, I = 16; d 1.608, I = 31; d 1.340, I = 23; d 1.316, I = 16

***

Diffraction record for Ti6NbMo2. The X-ray diffraction stick pattern is theoretical, not measured: it uses a cell relaxed with PBE and λ = 1.5418 Å (Cu Kα).
Lines closer than 0.1° are merged.

Structural model:
Cell lengths 4.691, 4.691, 7.895 Å; angles 90.05, 90.05, 60.01 degrees
Positions (direct):
1 Ti 0.000 0.000 0.169
2 Ti 0.000 0.000 0.831
3 Ti 0.333 0.333 0.734
4 Ti 0.334 0.334 0.371
5 Ti 0.666 0.666 0.629
6 Ti 0.667 0.667 0.266
7 Nb 0.000 0.000 0.500
8 Mo 0.334 0.334 0.055
9 Mo 0.666 0.666 0.945

Peak list (8 most intense, 2θ from 10° to 90°, in order of rising 2θ)
d 3.613, I = 23; d 2.346, I = 100; d 2.209, I = 81; d 1.608, I = 28; d 1.354, I = 16; d 1.326, I = 28; d 1.252, I = 11; d 1.173, I = 10

***

Diffraction record for Ti2Nb5Mo4. The X-ray diffraction stick pattern is theoretical, not measured: it uses a cell relaxed with PBE and λ = 1.5418 Å (Cu Kα).
Lines closer than 0.1° are merged.

Structural model:
Cell lengths 8.374, 8.374, 7.328 Å; angles 106.35, 106.35, 22.25 degrees
Positions (direct):
1 Ti 0.086 0.086 0.450
2 Ti 0.914 0.914 0.550
3 Nb 0.000 0.000 0.000
4 Nb 0.177 0.177 0.905
5 Nb 0.268 0.268 0.359
6 Nb 0.732 0.732 0.641
7 Nb 0.823 0.823 0.095
8 Mo 0.364 0.364 0.818
9 Mo 0.454 0.454 0.274
10 Mo 0.546 0.546 0.726
11 Mo 0.636 0.636 0.182

Peak list (8 most intense, 2θ from 10° to 90°, in order of rising 2θ)
d 2.326, I = 26; d 2.287, I = 100; d 2.255, I = 24; d 1.621, I = 8; d 1.616, I = 16; d 1.335, I = 17; d 1.327, I = 8; d 1.308, I = 15

***

Diffraction record for TiNbMo14. The X-ray diffraction stick pattern is theoretical, not measured: it uses a cell relaxed with PBE and λ = 1.5418 Å (Cu Kα).
Lines closer than 0.1° are merged.

Structural model:
Cell lengths 5.492, 5.492, 8.975 Å; angles 90.00, 90.00, 109.58 degrees
Positions (direct):
1 Ti 0.000 0.000 0.000
2 Nb 0.500 0.500 0.000
3 Mo 0.000 0.000 0.500
4 Mo 0.000 0.500 0.000
5 Mo 0.000 0.500 0.500
6 Mo 0.249 0.249 0.254
7 Mo 0.249 0.249 0.746
8 Mo 0.249 0.751 0.250
9 Mo 0.249 0.751 0.750
10 Mo 0.500 0.000 0.000
11 Mo 0.500 0.000 0.500
12 Mo 0.500 0.500 0.500
13 Mo 0.751 0.249 0.250
14 Mo 0.751 0.249 0.750
15 Mo 0.751 0.751 0.254
16 Mo 0.751 0.751 0.746

Peak list (7 most intense, 2θ from 10° to 90°, in order of rising 2θ)
d 4.484, I = 1; d 2.242, I = 100; d 1.587, I = 11; d 1.583, I = 5; d 1.294, I = 33; d 1.122, I = 4; d 1.121, I = 7

***

Diffraction record for Ti3Nb2Mo3. The X-ray diffraction stick pattern is theoretical, not measured: it uses a cell relaxed with PBE and λ = 1.5418 Å (Cu Kα).
Lines closer than 0.1° are merged.

Structural model:
Cell lengths 3.249, 4.696, 17.403 Å; angles 90.00, 90.00, 90.00 degrees
Positions (direct):
1 Ti 0.000 0.000 0.000
2 Ti 0.000 0.500 0.118
3 Ti 0.000 0.500 0.882
4 Ti 0.500 0.000 0.382
5 Ti 0.500 0.000 0.618
6 Ti 0.500 0.500 0.500
7 Nb 0.000 0.000 0.244
8 Nb 0.000 0.000 0.756
9 Nb 0.500 0.500 0.256
10 Nb 0.500 0.500 0.744
11 Mo 0.000 0.000 0.500
12 Mo 0.000 0.500 0.377
13 Mo 0.000 0.500 0.623
14 Mo 0.500 0.000 0.123
15 Mo 0.500 0.000 0.877
16 Mo 0.500 0.500 0.000

Peak list (8 most intense, 2θ from 10° to 90°, in order of rising 2θ)
d 3.650, I = 10; d 2.348, I = 28; d 2.277, I = 100; d 2.175, I = 21; d 1.596, I = 15; d 1.341, I = 17; d 1.275, I = 13; d 1.138, I = 10

***

Diffraction record for Ti2Nb2Mo5. The X-ray diffraction stick pattern is theoretical, not measured: it uses a cell relaxed with PBE and λ = 1.5418 Å (Cu Kα).
Lines closer than 0.1° are merged.

Structural model:
Cell lengths 6.965, 6.965, 5.517 Å; angles 104.85, 104.85, 37.23 degrees
Positions (direct):
1 Ti 0.099 0.099 0.409
2 Ti 0.901 0.901 0.591
3 Nb 0.299 0.299 0.205
4 Nb 0.701 0.701 0.795
5 Mo 0.091 0.091 0.903
6 Mo 0.307 0.307 0.711
7 Mo 0.500 0.500 0.500
8 Mo 0.693 0.693 0.289
9 Mo 0.909 0.909 0.097

Peak list (8 most intense, 2θ from 10° to 90°, in order of rising 2θ)
d 3.159, I = 18; d 2.244, I = 50; d 2.236, I = 100; d 2.223, I = 50; d 2.207, I = 94; d 1.579, I = 33; d 1.300, I = 16; d 1.286, I = 16

***

Diffraction record for Ti2NbMo5. The X-ray diffraction stick pattern is theoretical, not measured: it uses a cell relaxed with PBE and λ = 1.5418 Å (Cu Kα).
Lines closer than 0.1° are merged.

Structural model:
Cell lengths 6.360, 6.360, 6.353 Å; angles 90.00, 90.00, 90.00 degrees
Positions (direct):
1 Ti 0.000 0.500 0.000
2 Ti 0.000 0.500 0.500
3 Ti 0.500 0.000 0.000
4 Ti 0.500 0.000 0.500
5 Nb 0.000 0.000 0.000
6 Nb 0.500 0.500 0.500
7 Mo 0.000 0.000 0.500
8 Mo 0.250 0.250 0.250
9 Mo 0.250 0.250 0.750
10 Mo 0.250 0.750 0.250
11 Mo 0.250 0.750 0.750
12 Mo 0.500 0.500 0.000
13 Mo 0.750 0.250 0.250
14 Mo 0.750 0.250 0.750
15 Mo 0.750 0.750 0.250
16 Mo 0.750 0.750 0.750

Peak list (8 most intense, 2θ from 10° to 90°, in order of rising 2θ)
d 4.497, I = 4; d 3.179, I = 3; d 2.595, I = 2; d 2.248, I = 100; d 1.699, I = 1; d 1.589, I = 16; d 1.298, I = 32; d 1.124, I = 11

***

Diffraction record for TiNbMo3. The X-ray diffraction stick pattern is theoretical, not measured: it uses a cell relaxed with PBE and λ = 1.5418 Å (Cu Kα).
Lines closer than 0.1° are merged.

Structural model:
Cell lengths 13.549, 5.204, 4.786 Å; angles 90.00, 90.00, 90.00 degrees
Positions (direct):
1 Ti 0.250 0.000 0.142
2 Ti 0.250 0.500 0.358
3 Ti 0.750 0.000 0.858
4 Ti 0.750 0.500 0.642
5 Nb 0.051 0.250 0.250
6 Nb 0.449 0.750 0.250
7 Nb 0.551 0.250 0.750
8 Nb 0.949 0.750 0.750
9 Mo 0.060 0.750 0.250
10 Mo 0.148 0.000 0.692
11 Mo 0.148 0.500 0.808
12 Mo 0.352 0.000 0.692
13 Mo 0.352 0.500 0.808
14 Mo 0.440 0.250 0.250
15 Mo 0.560 0.750 0.750
16 Mo 0.648 0.000 0.308
17 Mo 0.648 0.500 0.192
18 Mo 0.852 0.000 0.308
19 Mo 0.852 0.500 0.192
20 Mo 0.940 0.250 0.750

Peak list (8 most intense, 2θ from 10° to 90°, in order of rising 2θ)
d 2.429, I = 42; d 2.393, I = 38; d 2.358, I = 100; d 2.254, I = 38; d 2.147, I = 21; d 2.040, I = 54; d 1.705, I = 26; d 1.139, I = 19

***

Diffraction record for Ti4Nb2VMo2. The X-ray diffraction stick pattern is theoretical, not measured: it uses a cell relaxed with PBE and λ = 1.5418 Å (Cu Kα).
Lines closer than 0.1° are merged.

Structural model:
Cell lengths 5.272, 5.530, 6.114 Å; angles 71.63, 66.09, 84.42 degrees
Positions (direct):
1 Ti 0.219 0.112 0.281
2 Ti 0.227 0.116 0.768
3 Ti 0.773 0.884 0.232
4 Ti 0.781 0.888 0.719
5 Nb 0.253 0.620 0.742
6 Nb 0.747 0.380 0.258
7 V 0.000 0.500 0.500
8 Mo 0.363 0.707 0.106
9 Mo 0.637 0.293 0.894

Peak list (8 most intense, 2θ from 10° to 90°, in order of rising 2θ)
d 3.487, I = 20; d 3.025, I = 35; d 2.663, I = 29; d 2.425, I = 42; d 2.408, I = 35; d 2.338, I = 100; d 2.316, I = 100; d 2.296, I = 93

***

Please write out number 6 again, unchanged.
Diffraction record for Ti2Nb5Mo4. The X-ray diffraction stick pattern is theoretical, not measured: it uses a cell relaxed with PBE and λ = 1.5418 Å (Cu Kα).
Lines closer than 0.1° are merged.

Structural model:
Cell lengths 8.374, 8.374, 7.328 Å; angles 106.35, 106.35, 22.25 degrees
Positions (direct):
1 Ti 0.086 0.086 0.450
2 Ti 0.914 0.914 0.550
3 Nb 0.000 0.000 0.000
4 Nb 0.177 0.177 0.905
5 Nb 0.268 0.268 0.359
6 Nb 0.732 0.732 0.641
7 Nb 0.823 0.823 0.095
8 Mo 0.364 0.364 0.818
9 Mo 0.454 0.454 0.274
10 Mo 0.546 0.546 0.726
11 Mo 0.636 0.636 0.182

Peak list (8 most intense, 2θ from 10° to 90°, in order of rising 2θ)
d 2.326, I = 26; d 2.287, I = 100; d 2.255, I = 24; d 1.621, I = 8; d 1.616, I = 16; d 1.335, I = 17; d 1.327, I = 8; d 1.308, I = 15